# PmNd7Pb4
Theoretical XRD peak list, a wavelength of 1.5418 Å. Input: the GGA-PBE geometry in Alexandria.
Lines closer than 0.1° are merged.

Structure:
```
data_PmNd7Pb4
_cell_length_a 14.359
_cell_length_b 5.986
_cell_length_c 11.337
_cell_angle_alpha 90.00
_cell_angle_beta 124.52
_cell_angle_gamma 90.00
_space_group_name_H-M_alt 'C 1 2/m 1'
_space_group_IT_number 12
_space_group_name_Hall '-C 2y'
loop_
_atom_site_label
_atom_site_type_symbol
_atom_site_fract_x
_atom_site_fract_y
_atom_site_fract_z
Pm1 Pm 0.000 0.000 0.000
Nd1 Nd 0.000 0.500 0.000
Nd2 Nd 0.053 0.000 0.370
Nd3 Nd 0.185 0.500 0.605
Nd4 Nd 0.209 0.000 0.890
Pb1 Pb 0.069 0.500 0.766
Pb2 Pb 0.203 0.500 0.327
```

The 12 most intense peaks (10 to 80 degrees two-theta), in order of falling intensity:
2θ (°)  I_rel  hkl
29.9  100  0 2 0
32.8  90  3 1 1
27.4  74  4 0 -3
41.0  52  4 2 -3
37.9  39  1 1 -4
35.4  36  5 1 -3
36.7  35  5 1 -1
32.3  32  2 0 -4
28.7  32  0 0 3
44.5  28  2 2 -4
28.4  26  1 1 2
54.9  21  3 3 1